# AcPrNdHg
Computed X-ray powder pattern, Cu Kα, 1.54184 Å. Input: the GGA-PBE geometry in Alexandria.
Kinematic intensities with the Lorentz-polarization factor, no thermal factor.

Cell and atoms:
Cell: 3.868 3.868 9.024 Å, 90.00 90.00 90.00°
Sites, in units of the cell vectors:
Ac: 0.000 0.000 0.000
Pr: 0.500 0.500 0.710
Nd: 0.500 0.500 0.288
Hg: 0.000 0.000 0.495

Largest 6 diffraction maxima, low angle first, 2θ from 10° to 90°:
2theta	I (rel.)	index
30.4	100	1 0 2
32.7	46	1 1 0
47.0	17	2 0 0
52.6	16	1 1 4
57.0	35	2 1 2
63.3	9	2 0 4